Starting from a DFT-relaxed cell (GGA-PBE, Alexandria), the powder diffractogram of Cs2MgIBr6 was computed for Cu Ka.

Structural model:
```
Cs2MgIBr6
1.0
-4.2634 4.2634 5.6124
4.2634 -4.2634 5.6124
4.2634 4.2634 -5.6124
Cs Mg I Br
2 1 1 6
direct
0.2500 0.7500 0.5000
0.7500 0.2500 0.5000
0.0000 0.0000 0.0000
0.5000 0.5000 0.0000
0.2158 0.2158 0.4315
0.2158 0.7842 0.0000
0.2618 0.2618 0.0000
0.7382 0.7382 0.0000
0.7842 0.2158 0.0000
0.7842 0.7842 0.5685
```

Top 8 peaks for 5° ≤ 2θ ≤ 70°, most intense first:
- 2θ = 26.25°, I 100
- 2θ = 29.63°, I 80
- 2θ = 44.09°, I 52
- 2θ = 31.89°, I 37
- 2θ = 21.63°, I 34
- 2θ = 42.40°, I 26
- 2θ = 54.02°, I 25
- 2θ = 24.66°, I 22